For SrVP2O8, a structure optimized by DFT (PBE+U) gives the calculated powder diffraction line list in this record (Cu Ka).

The 6 most intense peaks (2θ from 15° to 90°), in order of falling intensity:
| h k l | Position (°2θ) | intensity |
| --- | --- | --- |
| -1 1 1 | 20.93 | 100 |
| 0 2 -2 | 27.87 | 81 |
| 1 1 1 | 29.81 | 56 |
| 1 1 -3 | 31.74 | 52 |
| 1 -1 1 | 20.65 | 37 |
| -1 2 1 | 31.42 | 32 |

Atomic structure:
a = 6.0216 Å, b = 7.2335 Å, c = 8.9187 Å
α = 108.21°, β = 102.70°, γ = 100.79°
Space group P-1 (No. 2)
Unique sites:
Sr: 0.2490 0.2280 0.4499 x2
V: 0.2045 0.8097 0.0436 x2
P: 0.1027 0.5837 0.2794 x2
P: 0.3462 0.0226 0.7981 x2
O: 0.0476 0.4048 0.1067 x2
O: 0.1063 0.4358 0.6551 x2
O: 0.1423 0.7842 0.2338 x2
O: 0.1628 0.9367 0.8775 x2
O: 0.2139 0.0134 0.6307 x2
O: 0.3340 0.5820 0.3896 x2
O: 0.4461 0.0798 0.2010 x2
O: 0.4982 0.7548 0.0734 x2